No. 1
Structure and calculated powder diffraction line list of AlCo2Ni (a cell relaxed with PBE; CuKα).
Kinematic intensities with the Lorentz-polarization factor, no thermal factor.

Largest 6 diffraction maxima, by angle, 10 to 90 degrees two-theta:
| two_theta | d [Å] | Rel. int. |
| --- | --- | --- |
| 28.0 | 3.190 | 11 |
| 44.0 | 2.058 | 100 |
| 51.2 | 1.784 | 31 |
| 51.4 | 1.778 | 15 |
| 75.3 | 1.262 | 9 |
| 75.5 | 1.260 | 18 |

Atomic structure:
```
AlCo2Ni
1.0
3.569 0.000 0.000
0.000 3.569 0.000
0.000 0.000 7.112
Al Co Ni
2 4 2
direct
0.000 0.000 0.000
0.500 0.500 0.500
0.000 0.500 0.250
0.000 0.500 0.750
0.500 0.000 0.250
0.500 0.000 0.750
0.000 0.000 0.500
0.500 0.500 0.000
```

No. 2
Structure and calculated powder diffraction line list of Tm2TiO5 (a cell relaxed with PBE; CuKα).
Kinematic intensities with the Lorentz-polarization factor, no thermal factor.

Largest 6 diffraction maxima, by angle, 10 to 90 degrees two-theta:
| two_theta | d [Å] | Rel. int. |
| --- | --- | --- |
| 18.8 | 4.709 | 84 |
| 25.9 | 3.438 | 59 |
| 29.3 | 3.047 | 75 |
| 30.5 | 2.927 | 100 |
| 33.0 | 2.718 | 47 |
| 34.1 | 2.630 | 44 |

Atomic structure:
```
Tm2TiO5
1.0
5.765 -2.630 0.000
5.765 2.630 0.000
-2.996 0.000 6.877
Tm Ti O
4 2 10
direct
0.131 0.145 0.249
0.145 0.131 0.749
0.855 0.869 0.251
0.869 0.855 0.751
0.500 0.500 0.000
0.500 0.500 0.500
0.108 0.748 0.045
0.186 0.473 0.359
0.252 0.892 0.455
0.328 0.672 0.750
0.473 0.186 0.859
0.527 0.814 0.141
0.672 0.328 0.250
0.748 0.108 0.545
0.814 0.527 0.641
0.892 0.252 0.955
```

No. 3
Structure and calculated powder diffraction line list of HoCdCu4 (a cell relaxed with PBE; CuKα).
Kinematic intensities with the Lorentz-polarization factor, no thermal factor.

Largest 6 diffraction maxima, by angle, 10 to 90 degrees two-theta:
| two_theta | d [Å] | Rel. int. |
| --- | --- | --- |
| 35.3 | 2.545 | 54 |
| 41.6 | 2.170 | 100 |
| 43.6 | 2.078 | 20 |
| 63.3 | 1.469 | 19 |
| 67.6 | 1.385 | 30 |
| 74.6 | 1.272 | 22 |

Atomic structure:
```
HoCdCu4
1.0
0.000 3.599 3.599
3.599 0.000 3.599
3.599 3.599 0.000
Ho Cd Cu
1 1 4
direct
0.000 0.000 0.000
0.750 0.750 0.750
0.376 0.376 0.376
0.376 0.376 0.873
0.376 0.873 0.376
0.873 0.376 0.376
```